1.
Starting from a cell relaxed with GGA+U, the powder X-ray diffraction pattern of KLi4FeO5 was computed for CuKα.
Kinematic intensities with the Lorentz-polarization factor, no thermal factor.

Most intense lines, 2θ = 10–90°, by angle:
2θ/deg, intensity, h k l
17.42, 1000, 0 1 0
19.12, 838, 1 0 1
21.88, 386, 0 1 1
22.80, 301, 1 1 -1
27.46, 337, 1 1 2
30.80, 397, 1 -1 1
32.79, 550, 1 0 -2
37.63, 322, 0 1 -3
40.47, 439, 0 2 -2
40.90, 594, 2 2 2
41.28, 569, 2 0 -1
47.73, 284, 0 2 -3

a b c (Å): 5.707 5.812 7.915
angles (deg): 89.24 77.85 61.68
Space group P-1 (No. 2)
Symmetry-distinct sites (fractional):
K  0.096  0.253  0.090 [2 per cell]
Li  0.144  0.577  0.381 [2 per cell]
Li  0.159  0.007  0.378 [2 per cell]
Li  0.384  0.701  0.084 [2 per cell]
Li  0.412  0.412  0.632 [2 per cell]
Fe  0.355  0.945  0.678 [2 per cell]
O  0.011  0.843  0.208 [2 per cell]
O  0.237  0.757  0.550 [2 per cell]
O  0.281  0.221  0.493 [2 per cell]
O  0.474  0.135  0.792 [2 per cell]
O  0.483  0.654  0.818 [2 per cell]

=====

2.
Starting from a cell relaxed with GGA+U, the powder X-ray diffraction pattern of K2LiFeO3 was computed for CuKα.
Kinematic intensities with the Lorentz-polarization factor, no thermal factor.

Most intense lines, 2θ = 10–90°, by angle:
2θ/deg, intensity, h k l
13.30, 448, 0 0 1
16.59, 630, 0 2 0
21.44, 503, 1 1 1
31.71, 1000, 0 2 2
32.29, 277, 2 0 1
33.54, 530, 0 4 0
33.85, 790, 2 2 0
36.23, 219, 0 4 1
39.90, 820, 1 3 2
40.10, 609, 2 0 2
53.25, 297, 2 4 2
63.54, 223, 1 3 4

a b c (Å): 6.098 10.687 6.658
angles (deg): 90.00 90.00 90.00
Space group Cmme (No. 67)
Symmetry-distinct sites (fractional):
K  0.000  0.250  0.160 [4 per cell]
K  0.250  0.000  0.500 [4 per cell]
Li  0.250  0.000  0.000 [4 per cell]
Fe  0.000  0.250  0.679 [4 per cell]
O  0.000  0.100  0.830 [8 per cell]
O  0.250  0.250  0.500 [4 per cell]

=====

3.
Starting from a cell relaxed with GGA+U, the powder X-ray diffraction pattern of K8Li13Fe4O16 was computed for CuKα.
Kinematic intensities with the Lorentz-polarization factor, no thermal factor.

Most intense lines, 2θ = 10–90°, by angle:
2θ/deg, intensity, h k l
16.81, 246, 1 0 1
20.23, 345, 0 2 0
20.89, 324, 1 1 -1
21.38, 335, -1 1 1
26.22, 233, 0 2 -2
32.41, 272, 1 1 -3
32.63, 285, -1 1 3
32.95, 488, 2 1 0
33.99, 1000, 2 0 2
35.01, 233, 1 -2 3
43.70, 357, 2 3 0
44.24, 257, -1 3 3

a b c (Å): 5.692 8.786 10.954
angles (deg): 89.16 83.21 87.76
Space group P1 (No. 1)
Symmetry-distinct sites (fractional):
K  0.000  0.000  0.000 [1 per cell]
K  0.014  0.695  0.515 [1 per cell]
K  0.224  0.953  0.332 [1 per cell]
K  0.261  0.219  0.779 [1 per cell]
K  0.512  0.706  0.028 [1 per cell]
K  0.544  0.449  0.530 [1 per cell]
K  0.740  0.378  0.876 [1 per cell]
K  0.764  0.205  0.312 [1 per cell]
Li  0.040  0.517  0.708 [1 per cell]
Li  0.075  0.696  0.871 [1 per cell]
Li  0.085  0.449  0.332 [1 per cell]
Li  0.218  0.476  0.991 [1 per cell]
Li  0.227  0.204  0.491 [1 per cell]
Li  0.342  0.955  0.614 [1 per cell]
Li  0.473  0.483  0.248 [1 per cell]
Li  0.523  0.996  0.892 [1 per cell]
Li  0.574  0.700  0.363 [1 per cell]
Li  0.627  0.942  0.181 [1 per cell]
Li  0.705  0.935  0.479 [1 per cell]
Li  0.838  0.447  0.118 [1 per cell]
Li  0.954  0.902  0.735 [1 per cell]
Fe  0.328  0.241  0.127 [1 per cell]
Fe  0.498  0.714  0.728 [1 per cell]
Fe  0.814  0.154  0.630 [1 per cell]
Fe  0.989  0.686  0.216 [1 per cell]
O  0.027  0.998  0.558 [1 per cell]
O  0.061  0.288  0.043 [1 per cell]
O  0.267  0.646  0.306 [1 per cell]
O  0.268  0.261  0.306 [1 per cell]
O  0.297  0.881  0.803 [1 per cell]
O  0.318  0.538  0.791 [1 per cell]
O  0.458  0.039  0.073 [1 per cell]
O  0.506  0.415  0.081 [1 per cell]
O  0.511  0.760  0.556 [1 per cell]
O  0.533  0.134  0.551 [1 per cell]
O  0.774  0.092  0.797 [1 per cell]
O  0.775  0.511  0.303 [1 per cell]
O  0.775  0.876  0.305 [1 per cell]
O  0.820  0.693  0.765 [1 per cell]
O  0.983  0.343  0.608 [1 per cell]
O  0.994  0.651  0.040 [1 per cell]